Diffraction record for CaCoWO6. The PXRD pattern is simulated, not measured: it uses a crystal structure in Alexandria, relaxed with GGA+U and CuKα.

Largest 8 diffraction maxima, sorted by position, 10 to 90 degrees two-theta:
| h k l | 2theta | I/Imax |
| --- | --- | --- |
| 0 1 1 | 20.47 | 49.4 |
| 1 1 -1 | 23.66 | 84.5 |
| 0 0 2 | 23.79 | 41.4 |
| 0 2 0 | 33.57 | 20.3 |
| 1 1 -3 | 33.80 | 100.0 |
| 2 2 -2 | 48.40 | 27.0 |
| 1 1 3 | 54.80 | 24.4 |
| 3 1 -5 | 60.48 | 27.3 |

Atomic structure:
a = 5.2988 Å, b = 5.3389 Å, c = 9.1639 Å
α = 90.00°, β = 125.28°, γ = 90.00°
Space group Pc (No. 7)
Asymmetric unit:
Ca 0.0000 0.2064 0.0000 (multiplicity 2)
Co 0.2403 0.2439 0.7502 (multiplicity 2)
W 0.7372 0.2647 0.2494 (multiplicity 2)
O 0.0641 0.0333 0.2807 (multiplicity 2)
O 0.4097 0.4693 0.2119 (multiplicity 2)
O 0.4894 0.0305 0.7130 (multiplicity 2)
O 0.5596 0.2596 0.9943 (multiplicity 2)
O 0.9277 0.2409 0.5032 (multiplicity 2)
O 0.9927 0.4572 0.7874 (multiplicity 2)